Theoretical powder XRD pattern
Compound: Li9Mn12Ni3O32
Radiation: a wavelength of 1.5418 Å
Structure: a structure optimized by DFT (PBE+U)
Peak positions follow from Bragg's law for the DFT cell and can differ from measured ones.

Atomic structure:
```
Li9Mn12Ni3O32
1.0
5.8644 3.3858 4.7900
-5.8644 3.3858 4.7900
0.0000 -6.7716 4.7900
Li Mn Ni O
9 12 3 32
Cartesian
0.0000 0.0000 0.0000 Li
-0.0337 -3.4241 4.1862 Li
-2.9485 1.7412 4.1862 Li
-2.9485 -1.7412 10.1838 Li
0.0000 0.0000 5.4256 Li
0.0000 0.0000 8.9444 Li
2.9822 1.6829 4.1862 Li
-0.0337 3.4241 10.1838 Li
2.9822 -1.6829 10.1838 Li
-2.9501 -1.6618 4.7900 Mn
-1.4508 -0.8158 2.4094 Mn
-2.9753 0.0000 7.1850 Mn
1.4319 -0.8485 2.4094 Mn
0.0189 1.6643 2.4094 Mn
-2.9501 1.6618 9.5800 Mn
1.4877 -2.5767 7.1850 Mn
0.0359 3.3858 4.7900 Mn
-1.4508 0.8158 11.9606 Mn
0.0189 -1.6643 11.9606 Mn
1.4877 2.5767 7.1850 Mn
1.4319 0.8485 11.9606 Mn
-1.4702 -2.5464 7.1850 Ni
-1.4702 2.5464 7.1850 Ni
2.9403 0.0000 7.1850 Ni
-3.0156 -3.1685 5.9651 O
-4.2673 -0.9098 6.0333 O
-0.0308 -1.5646 1.4250 O
-1.3396 0.8090 1.4250 O
-3.0495 -1.6599 8.1866 O
-1.6942 -0.8425 6.0218 O
0.0000 0.0000 3.4488 O
-3.0495 1.6599 6.1834 O
1.3704 0.7556 1.4250 O
-4.2673 0.9098 8.3367 O
0.0872 -3.4709 6.1834 O
-1.2362 -4.1958 8.4049 O
-1.6942 0.8425 8.3482 O
-3.0156 3.1685 8.4049 O
1.3458 -4.1505 8.3367 O
0.1174 -1.8885 8.3482 O
1.5768 -1.0459 6.0218 O
2.9216 -3.2407 6.0333 O
-1.2362 4.1958 5.9651 O
0.1174 1.8885 6.0218 O
4.2518 -1.0273 5.9651 O
2.9623 -1.8109 8.1866 O
1.3458 4.1505 6.0333 O
-1.3396 -0.8090 12.9450 O
0.0872 3.4709 8.1866 O
0.0000 0.0000 10.9212 O
1.5768 1.0459 8.3482 O
2.9623 1.8109 6.1834 O
-0.0308 1.5646 12.9450 O
1.3704 -0.7556 12.9450 O
2.9216 3.2407 8.3367 O
4.2518 1.0273 8.4049 O
```

Most intense lines, 2θ from 10° to 80°, by intensity:
| two_theta | I/Imax |
| --- | --- |
| 18.53 | 100 |
| 43.65 | 55 |
| 35.91 | 47 |
| 63.44 | 32 |
| 57.76 | 20 |
| 66.72 | 14 |
| 47.80 | 10 |
| 37.56 | 10 |